Structure and theoretical XRD peak list of Ta3Nb7W (DFT lattice parameters and positions (GGA-PBE); Cu Kα, 1.54184 Å).
Peak positions follow from Bragg's law for the DFT cell and can differ from measured ones.

Peak list (12 most intense, 10° ≤ 2θ ≤ 90°, in order of rising 2θ)
| 2θ (°) | d_spacing | I_rel | index |
| --- | --- | --- | --- |
| 17.3 | 5.138 | 16 | 1 0 0 |
| 21.5 | 4.139 | 13 | 1 0 1 |
| 32.8 | 2.730 | 10 | 1 1 1 |
| 37.3 | 2.411 | 100 | 2 0 1 |
| 38.7 | 2.329 | 29 | 0 0 3 |
| 43.7 | 2.070 | 64 | 0 2 2 |
| 62.6 | 1.483 | 22 | 2 2 0 |
| 64.5 | 1.444 | 19 | 2 0 4 |
| 75.2 | 1.263 | 13 | 0 4 1 |
| 76.1 | 1.251 | 24 | 2 2 3 |
| 77.8 | 1.228 | 11 | 0 2 5 |
| 79.5 | 1.206 | 11 | 4 0 2 |

Crystal structure
a = 5.9325 Å, b = 5.9325 Å, c = 6.9872 Å
α = 90.00°, β = 90.00°, γ = 120.00°
Space group P3m1 (No. 156)
One atom of each set of equivalent atoms:
Ta (0.0012, 0.5006, 0.0000) x3
Nb (0.1621, 0.3242, 0.6777) x3
Nb (0.3233, 0.1616, 0.3180) x3
Nb (0.6667, 0.3333, 0.6587) x1
W (0.3333, 0.6667, 0.3379) x1